Diffraction record for YErAl6B8O24. The X-ray powder pattern is computed, not measured: it uses a PBE-relaxed structure and CuKα.
Lines closer than 0.1° are merged.

```
data_YErAl6B8O24
_chemical_formula_sum 'Y1 Er1 Al6 B8 O24'
_space_group_name_H-M_alt 'P 1'
_space_group_IT_number 1
_space_group_name_Hall 'P 1'
_cell_length_a 5.921
_cell_length_b 9.355
_cell_length_c 7.260
_cell_angle_alpha 90.00
_cell_angle_beta 113.88
_cell_angle_gamma 90.00
loop_
_atom_site_label
_atom_site_type_symbol
_atom_site_fract_x
_atom_site_fract_y
_atom_site_fract_z
_atom_site_occupancy
Y1 Y 0.000 0.000 0.000 1
Er1 Er 0.000 0.500 0.500 1
Al1 Al 0.000 0.444 0.000 1
Al2 Al 0.000 0.944 0.500 1
Al3 Al 0.444 0.778 0.778 1
Al4 Al 0.445 0.278 0.278 1
Al5 Al 0.555 0.278 0.722 1
Al6 Al 0.556 0.778 0.222 1
B1 B 0.057 0.222 0.721 1
B2 B 0.057 0.721 0.222 1
B3 B 0.500 0.000 0.500 1
B4 B 0.500 0.057 0.000 1
B5 B 0.500 0.500 0.000 1
B6 B 0.500 0.557 0.500 1
B7 B 0.943 0.222 0.279 1
B8 B 0.943 0.721 0.778 1
O1 O 0.028 0.575 0.205 1
O2 O 0.029 0.076 0.703 1
O3 O 0.091 0.296 0.204 1
O4 O 0.091 0.796 0.704 1
O5 O 0.220 0.301 0.671 1
O6 O 0.221 0.799 0.172 1
O7 O 0.351 0.426 0.074 1
O8 O 0.351 0.926 0.574 1
O9 O 0.370 0.624 0.595 1
O10 O 0.372 0.125 0.096 1
O11 O 0.500 0.149 0.500 1
O12 O 0.500 0.409 0.500 1
O13 O 0.500 0.649 0.000 1
O14 O 0.500 0.909 0.000 1
O15 O 0.628 0.125 0.904 1
O16 O 0.630 0.624 0.405 1
O17 O 0.649 0.426 0.926 1
O18 O 0.649 0.926 0.426 1
O19 O 0.779 0.799 0.828 1
O20 O 0.780 0.301 0.329 1
O21 O 0.909 0.296 0.796 1
O22 O 0.909 0.796 0.296 1
O23 O 0.971 0.076 0.297 1
O24 O 0.972 0.575 0.795 1
```

Peak list (10 most intense, 2θ = 5–70°, most intense first)
d_spacing	Position (°2θ)	I/Imax	h k l
2.706	33.1	100	2 0 0
5.413	16.4	58	1 0 0
3.540	25.2	49	1 2 0
4.678	19.0	39	0 2 0
2.823	31.7	33	0 3 1
2.343	38.4	32	2 2 0
2.147	42.1	29	1 4 0
1.684	54.5	23	3 2 0
3.319	26.9	20	1 1 1
1.912	47.6	20	0 4 2